# 1
The following is a simulated X-ray powder pattern of NaTeF5. It was derived from a DFT-relaxed cell (PBE, the Materials Project), using a wavelength of 1.5418 Å.
Intensities are scaled so that the largest is 100.

Structural model:
```
NaTeF5
1.0
10.3953 0.0000 0.0000
0.0000 6.0409 0.0000
0.0000 0.0000 7.4047
Na Te F
4 4 20
Cartesian
0.0468 1.5102 1.3638 Na
5.1508 4.5307 5.0661 Na
5.2445 1.5102 2.3386 Na
10.3485 4.5307 6.0409 Na
2.4416 1.5102 4.8188 Te
2.7560 4.5307 1.1164 Te
7.6393 1.5102 6.2883 Te
7.9537 4.5307 2.5859 Te
1.0342 0.1142 4.8256 F
1.0342 2.9063 4.8256 F
1.4146 3.1730 0.4209 F
1.4146 5.8884 0.4209 F
1.9953 1.5102 2.9480 F
3.2023 4.5307 6.6503 F
3.7831 0.1525 4.1233 F
3.7831 2.8679 4.1233 F
4.1635 3.1346 1.1232 F
4.1635 5.9267 1.1232 F
6.2318 0.1142 6.2815 F
6.2318 2.9063 6.2815 F
6.6122 3.1730 3.2815 F
6.6122 5.8884 3.2815 F
7.1930 1.5102 0.7544 F
8.4000 4.5307 4.4567 F
8.9807 0.1525 6.9838 F
8.9807 2.8679 6.9838 F
9.3612 3.1346 2.5791 F
9.3612 5.9267 2.5791 F
```

The 10 most intense peaks (2θ from 15° to 90°), by angle:
(2 0 0), 2θ 17.06, rel. 32
(0 1 1), 2θ 18.96, rel. 24
(1 1 1), 2θ 20.82, rel. 68
(1 0 2), 2θ 25.58, rel. 100
(3 1 1), 2θ 32.14, rel. 13
(2 2 0), 2θ 34.34, rel. 15
(1 1 3), 2θ 40.42, rel. 20
(4 2 0), 2θ 46.07, rel. 18
(3 2 2), 2θ 46.84, rel. 20
(3 1 3), 2θ 47.66, rel. 15

---

# 2
The following is a simulated X-ray powder pattern of Ti13Sb3. It was derived from a DFT-relaxed cell (PBE, the Materials Project), using a wavelength of 1.5418 Å.
Intensities are scaled so that the largest is 100.

Structural model:
```
Ti13Sb3
1.0
4.7483 0.0000 0.0000
0.0000 5.8289 0.0000
0.0000 0.0000 10.1648
Ti Sb
13 3
Cartesian
0.0000 0.0000 0.0000 Ti
0.0000 0.0000 5.1128 Ti
0.0000 1.4018 7.5920 Ti
0.0000 1.4577 2.6670 Ti
0.0000 2.9144 5.0871 Ti
0.0000 4.3712 2.6670 Ti
0.0000 4.4271 7.5920 Ti
2.3742 0.0000 6.7855 Ti
2.3742 1.4212 9.3145 Ti
2.3742 1.4555 4.2363 Ti
2.3742 2.9144 1.7216 Ti
2.3742 4.3734 4.2363 Ti
2.3742 4.4077 9.3145 Ti
0.0000 2.9144 0.0172 Sb
2.3742 0.0000 1.6975 Sb
2.3742 2.9144 6.8079 Sb
```

The 10 most intense peaks (2θ from 15° to 90°), by angle:
(1 0 2), 2θ 25.72, rel. 28
(0 2 2), 2θ 35.51, rel. 26
(2 0 0), 2θ 37.90, rel. 41
(1 0 4), 2θ 40.25, rel. 52
(1 2 2), 2θ 40.42, rel. 100
(2 2 2), 2θ 52.90, rel. 15
(0 2 6), 2θ 63.52, rel. 16
(3 2 2), 2θ 70.15, rel. 17
(2 2 6), 2θ 76.41, rel. 18
(1 4 4), 2θ 78.26, rel. 14